No. 1
Diffraction record for Tb8BSe4S3. The powder diffractogram is calculated, not measured: it uses a cell relaxed with PBE and λ = 1.5418 Å (Cu Kα).

Structure:
```
16
Lattice="3.976 2.296 6.662 -3.976 2.296 6.662 0.000 -4.591 6.662" Properties=species:S:1:pos:R:3 pbc="T T T"
Tb 0.000 0.000 4.854
Tb -1.871 -1.080 11.461
Tb 0.000 -2.160 8.523
Tb -1.871 1.080 8.523
Tb 1.871 -1.080 11.461
Tb 0.000 2.160 11.461
Tb 1.871 1.080 8.523
Tb 0.000 0.000 15.130
B 0.000 0.000 9.992
Se 0.000 0.000 0.000
Se -1.988 -1.148 6.662
Se -1.988 1.148 13.323
Se 0.000 2.296 6.662
S -3.976 0.000 9.992
S -1.988 1.148 3.331
S 1.988 1.148 3.331
```

Main lines, in order of rising 2θ (5 to 70 degrees two-theta):
2θ (°)	I_rel
26.77	11
27.39	34
31.55	100
34.38	9
44.82	33
45.63	36
53.69	9
54.05	5
55.15	5
56.53	18
62.73	7
65.88	10

=====

No. 2
Diffraction record for Th4BSe2S. The powder diffractogram is calculated, not measured: it uses a cell relaxed with PBE and λ = 1.5418 Å (Cu Kα).

Structure:
```
8
Lattice="7.050 0.000 0.000 0.000 4.058 0.000 -2.340 0.000 6.921" Properties=species:S:1:pos:R:3 pbc="T T T"
Th 1.089 0.000 1.477
Th -0.086 2.029 5.383
Th 4.797 2.029 1.539
Th 3.621 0.000 5.445
B 0.000 2.029 0.000
Se -1.170 0.000 3.461
Se 2.355 2.029 3.461
S 3.525 0.000 0.000
```

Main lines, in order of rising 2θ (5 to 70 degrees two-theta):
2θ (°)	I_rel
25.74	17
26.74	57
30.69	100
33.37	12
43.31	33
44.55	25
44.66	13
52.23	11
55.17	17
60.71	7
63.91	10
64.01	7

=====

What did the second record say?
Diffraction record for Th4BSe2S. The powder diffractogram is calculated, not measured: it uses a cell relaxed with PBE and λ = 1.5418 Å (Cu Kα).

Structure:
```
8
Lattice="7.050 0.000 0.000 0.000 4.058 0.000 -2.340 0.000 6.921" Properties=species:S:1:pos:R:3 pbc="T T T"
Th 1.089 0.000 1.477
Th -0.086 2.029 5.383
Th 4.797 2.029 1.539
Th 3.621 0.000 5.445
B 0.000 2.029 0.000
Se -1.170 0.000 3.461
Se 2.355 2.029 3.461
S 3.525 0.000 0.000
```

Main lines, in order of rising 2θ (5 to 70 degrees two-theta):
2θ (°)	I_rel
25.74	17
26.74	57
30.69	100
33.37	12
43.31	33
44.55	25
44.66	13
52.23	11
55.17	17
60.71	7
63.91	10
64.01	7